# 1
The following is a simulated X-ray diffraction stick pattern of MnIn2S4. It was derived from a DFT-relaxed cell (GGA-PBE, Alexandria), using a wavelength of 1.5418 Å.
Neutral-atom scattering factors, no anomalous dispersion.

Principal peaks in the range 10° ≤ 2θ ≤ 90°, in order of rising 2θ:
2θ = 15.76°, 5.624 Å, I 27
2θ = 22.38°, 3.972 Å, I 30
2θ = 27.49°, 3.245 Å, I 100
2θ = 35.73°, 2.513 Å, I 22
2θ = 45.66°, 1.987 Å, I 61
2θ = 54.12°, 1.694 Å, I 41

Atomic structure:
```
data_MnIn2S4
_symmetry_space_group_name_H-M 'P -4 2 m'
_symmetry_Int_Tables_number 111
_cell_length_a 5.6170
_cell_length_b 5.6170
_cell_length_c 5.6261
_cell_angle_alpha 90.00
_cell_angle_beta 90.00
_cell_angle_gamma 90.00
loop_
_symmetry_equiv_pos_as_xyz
'x,y,z'
'y,-x,-z'
'-x,-y,z'
'-y,x,-z'
'x,-y,-z'
'y,x,z'
'-x,y,-z'
'-y,-x,z'
loop_
_atom_site_label
_atom_site_fract_x
_atom_site_fract_y
_atom_site_fract_z
Mn1 0.0000 0.0000 0.0000
In1 0.0000 0.5000 0.5000
S1 0.2569 0.2569 0.2293
```


# 2
The following is a simulated X-ray diffraction stick pattern of MnTlIn4S8. It was derived from a DFT-relaxed cell (GGA-PBE, Alexandria), using a wavelength of 1.5418 Å.
Neutral-atom scattering factors, no anomalous dispersion.

Principal peaks in the range 10° ≤ 2θ ≤ 90°, in order of rising 2θ:
2θ = 23.12°, 3.847 Å, I 64
2θ = 26.48°, 3.367 Å, I 100
2θ = 26.75°, 3.333 Å, I 76
2θ = 27.28°, 3.269 Å, I 65
2θ = 42.55°, 2.124 Å, I 57
2θ = 45.92°, 1.976 Å, I 69

Atomic structure:
```
data_MnTlIn4S8
_symmetry_space_group_name_H-M 'R 3 m'
_symmetry_Int_Tables_number 160
_symmetry_space_group_name_Hall 'R 3 -2"'
_cell_length_a 7.9054
_cell_length_b 7.9054
_cell_length_c 18.6058
_cell_angle_alpha 90.00
_cell_angle_beta 90.00
_cell_angle_gamma 120.00
loop_
_atom_site_label
_atom_site_fract_x
_atom_site_fract_y
_atom_site_fract_z
Mn1 0.0000 0.0000 0.0000
Tl1 0.0000 0.0000 0.3948
In1 0.0000 0.0000 0.6198
In2 0.1715 0.3430 0.8334
S1 0.0000 0.0000 0.2444
S2 0.0000 0.0000 0.7577
S3 0.0525 0.5262 0.7477
S4 0.1809 0.3619 0.5802
```


# 3
The following is a simulated X-ray diffraction stick pattern of Zr2MnIn2S6. It was derived from a DFT-relaxed cell (GGA-PBE, Alexandria), using a wavelength of 1.5418 Å.
Neutral-atom scattering factors, no anomalous dispersion.

Principal peaks in the range 10° ≤ 2θ ≤ 90°, in order of rising 2θ:
2θ = 23.80°, 3.738 Å, I 24
2θ = 28.96°, 3.083 Å, I 34
2θ = 32.11°, 2.787 Å, I 100
2θ = 32.24°, 2.777 Å, I 49
2θ = 42.84°, 2.111 Å, I 53
2θ = 49.28°, 1.849 Å, I 29

Atomic structure:
```
data_Zr2MnIn2S6
_symmetry_space_group_name_H-M 'C 1 2/m 1'
_symmetry_Int_Tables_number 12
_cell_length_a 6.3979
_cell_length_b 11.1375
_cell_length_c 7.7713
_cell_angle_alpha 90.00
_cell_angle_beta 105.84
_cell_angle_gamma 90.00
loop_
_symmetry_equiv_pos_as_xyz
'x,y,z'
'-x,-y,-z'
'-x,y,-z'
'x,-y,z'
'x+1/2,y+1/2,z'
'-x+1/2,-y+1/2,-z'
'-x+1/2,y+1/2,-z'
'x+1/2,-y+1/2,z'
loop_
_atom_site_label
_atom_site_fract_x
_atom_site_fract_y
_atom_site_fract_z
Zr1 0.0000 0.1666 0.0000
Mn1 0.0000 0.5000 0.0000
In1 0.0000 0.3339 0.5000
S1 0.2332 0.3309 0.1971
S2 0.2343 0.0000 0.1923
```


# 4
The following is a simulated X-ray diffraction stick pattern of Mn2InSb. It was derived from a DFT-relaxed cell (GGA-PBE, Alexandria), using a wavelength of 1.5418 Å.
Neutral-atom scattering factors, no anomalous dispersion.

Principal peaks in the range 10° ≤ 2θ ≤ 90°, in order of rising 2θ:
2θ = 37.17°, 2.419 Å, I 100
2θ = 41.40°, 2.181 Å, I 18
2θ = 41.74°, 2.164 Å, I 18
2θ = 46.28°, 1.962 Å, I 13
2θ = 72.71°, 1.300 Å, I 13
2θ = 73.19°, 1.293 Å, I 13

Atomic structure:
```
data_Mn2InSb
_symmetry_space_group_name_H-M 'P m m m'
_symmetry_Int_Tables_number 47
_cell_length_a 3.9231
_cell_length_b 4.3279
_cell_length_c 4.3623
_cell_angle_alpha 90.00
_cell_angle_beta 90.00
_cell_angle_gamma 90.00
loop_
_symmetry_equiv_pos_as_xyz
'x,y,z'
'-x,-y,-z'
'-x,-y,z'
'x,y,-z'
'x,-y,-z'
'-x,y,z'
'-x,y,-z'
'x,-y,z'
loop_
_atom_site_label
_atom_site_fract_x
_atom_site_fract_y
_atom_site_fract_z
Mn1 0.0000 0.0000 0.0000
Mn2 0.0000 0.5000 0.5000
In1 0.5000 0.0000 0.5000
Sb1 0.5000 0.5000 0.0000
```


# 5
The following is a simulated X-ray diffraction stick pattern of Mn4InSb3. It was derived from a DFT-relaxed cell (GGA-PBE, Alexandria), using a wavelength of 1.5418 Å.
Neutral-atom scattering factors, no anomalous dispersion.

Principal peaks in the range 10° ≤ 2θ ≤ 90°, in order of rising 2θ:
2θ = 29.90°, 2.989 Å, I 100
2θ = 41.06°, 2.198 Å, I 52
2θ = 44.46°, 2.038 Å, I 47
2θ = 54.50°, 1.684 Å, I 18
2θ = 55.55°, 1.654 Å, I 17
2θ = 72.88°, 1.298 Å, I 15

Atomic structure:
```
data_Mn4InSb3
_symmetry_space_group_name_H-M 'P -6 m 2'
_symmetry_Int_Tables_number 187
_symmetry_space_group_name_Hall 'P -6 2'
_cell_length_a 4.0754
_cell_length_b 4.0754
_cell_length_c 11.2376
_cell_angle_alpha 90.00
_cell_angle_beta 90.00
_cell_angle_gamma 120.00
loop_
_atom_site_label
_atom_site_fract_x
_atom_site_fract_y
_atom_site_fract_z
Mn1 0.0000 0.0000 0.1236
Mn2 0.0000 0.0000 0.3719
In1 0.6667 0.3333 0.5000
Sb1 0.3333 0.6667 0.2524
Sb2 0.6667 0.3333 0.0000
```


# 6
The following is a simulated X-ray diffraction stick pattern of ScMn2In. It was derived from a DFT-relaxed cell (GGA-PBE, Alexandria), using a wavelength of 1.5418 Å.
Neutral-atom scattering factors, no anomalous dispersion.

Principal peaks in the range 10° ≤ 2θ ≤ 90°, in order of rising 2θ:
2θ = 12.00°, 7.375 Å, I 23
2θ = 31.57°, 2.834 Å, I 23
2θ = 38.15°, 2.359 Å, I 100
2θ = 41.61°, 2.170 Å, I 48
2θ = 60.31°, 1.535 Å, I 15
2θ = 73.64°, 1.286 Å, I 26

Atomic structure:
```
data_ScMn2In
_symmetry_space_group_name_H-M 'P 4 m m'
_symmetry_Int_Tables_number 99
_cell_length_a 3.0694
_cell_length_b 3.0694
_cell_length_c 7.3750
_cell_angle_alpha 90.00
_cell_angle_beta 90.00
_cell_angle_gamma 90.00
loop_
_symmetry_equiv_pos_as_xyz
'x,y,z'
'-y,x,z'
'-x,-y,z'
'y,-x,z'
'-x,y,z'
'y,x,z'
'x,-y,z'
'-y,-x,z'
loop_
_atom_site_label
_atom_site_fract_x
_atom_site_fract_y
_atom_site_fract_z
Sc1 0.0000 0.0000 0.0000
Mn1 0.0000 0.0000 0.5806
Mn2 0.5000 0.5000 0.7440
In1 0.5000 0.5000 0.3191
```


# 7
The following is a simulated X-ray diffraction stick pattern of MnIn4Se. It was derived from a DFT-relaxed cell (GGA-PBE, Alexandria), using a wavelength of 1.5418 Å.
Neutral-atom scattering factors, no anomalous dispersion.

Principal peaks in the range 10° ≤ 2θ ≤ 90°, in order of rising 2θ:
2θ = 17.95°, 4.943 Å, I 30
2θ = 34.75°, 2.581 Å, I 100
2θ = 36.35°, 2.471 Å, I 59
2θ = 55.80°, 1.648 Å, I 33
2θ = 61.25°, 1.513 Å, I 31
2θ = 73.36°, 1.291 Å, I 22

Atomic structure:
```
data_MnIn4Se
_symmetry_space_group_name_H-M 'F -4 3 m'
_symmetry_Int_Tables_number 216
_symmetry_space_group_name_Hall 'F -4 2 3'
_cell_length_a 8.5612
_cell_length_b 8.5612
_cell_length_c 8.5612
_cell_angle_alpha 90.00
_cell_angle_beta 90.00
_cell_angle_gamma 90.00
loop_
_atom_site_label
_atom_site_fract_x
_atom_site_fract_y
_atom_site_fract_z
Mn1 0.0000 0.0000 0.0000
In1 0.1252 0.1252 0.3748
Se1 0.2500 0.2500 0.7500
```


# 8
The following is a simulated X-ray diffraction stick pattern of MnIn5Se8. It was derived from a DFT-relaxed cell (GGA-PBE, Alexandria), using a wavelength of 1.5418 Å.
Neutral-atom scattering factors, no anomalous dispersion.

Principal peaks in the range 10° ≤ 2θ ≤ 90°, in order of rising 2θ:
2θ = 25.68°, 3.468 Å, I 68
2θ = 31.10°, 2.876 Å, I 74
2θ = 40.76°, 2.214 Å, I 37
2θ = 44.56°, 2.034 Å, I 100
2θ = 73.66°, 1.286 Å, I 22
2θ = 82.09°, 1.174 Å, I 30

Atomic structure:
```
data_MnIn5Se8
_symmetry_space_group_name_H-M 'F -4 3 m'
_symmetry_Int_Tables_number 216
_symmetry_space_group_name_Hall 'F -4 2 3'
_cell_length_a 11.5033
_cell_length_b 11.5033
_cell_length_c 11.5033
_cell_angle_alpha 90.00
_cell_angle_beta 90.00
_cell_angle_gamma 90.00
loop_
_atom_site_label
_atom_site_fract_x
_atom_site_fract_y
_atom_site_fract_z
Mn1 0.0000 0.0000 0.0000
In1 0.1285 0.1285 0.3715
In2 0.2500 0.2500 0.7500
Se1 0.1156 0.1156 0.6156
Se2 0.1286 0.1286 0.1286
```


# 9
The following is a simulated X-ray diffraction stick pattern of MnInSi. It was derived from a DFT-relaxed cell (GGA-PBE, Alexandria), using a wavelength of 1.5418 Å.
Neutral-atom scattering factors, no anomalous dispersion.

Principal peaks in the range 10° ≤ 2θ ≤ 90°, in order of rising 2θ:
2θ = 30.29°, 2.950 Å, I 60
2θ = 38.03°, 2.366 Å, I 20
2θ = 40.77°, 2.213 Å, I 100
2θ = 41.11°, 2.196 Å, I 58
2θ = 57.24°, 1.609 Å, I 23
2θ = 74.68°, 1.271 Å, I 31

Atomic structure:
```
data_MnInSi
_symmetry_space_group_name_H-M 'I 4 m m'
_symmetry_Int_Tables_number 107
_symmetry_space_group_name_Hall 'I 4 -2'
_cell_length_a 3.1051
_cell_length_b 3.1051
_cell_length_c 9.4642
_cell_angle_alpha 90.00
_cell_angle_beta 90.00
_cell_angle_gamma 90.00
loop_
_atom_site_label
_atom_site_fract_x
_atom_site_fract_y
_atom_site_fract_z
Mn1 0.0000 0.0000 0.0000
In1 0.0000 0.0000 0.3024
Si1 0.0000 0.0000 0.5946
```


# 10
The following is a simulated X-ray diffraction stick pattern of TmMn6InSn5. It was derived from a DFT-relaxed cell (GGA-PBE, Alexandria), using a wavelength of 1.5418 Å.
Neutral-atom scattering factors, no anomalous dispersion.

Principal peaks in the range 10° ≤ 2θ ≤ 90°, in order of rising 2θ:
2θ = 32.95°, 2.718 Å, I 100
2θ = 35.34°, 2.540 Å, I 48
2θ = 38.64°, 2.330 Å, I 87
2θ = 43.33°, 2.088 Å, I 43
2θ = 69.11°, 1.359 Å, I 29
2θ = 71.55°, 1.319 Å, I 36

Atomic structure:
```
data_TmMn6InSn5
_symmetry_space_group_name_H-M 'P -6 m 2'
_symmetry_Int_Tables_number 187
_symmetry_space_group_name_Hall 'P -6 2'
_cell_length_a 5.4364
_cell_length_b 5.4364
_cell_length_c 9.0487
_cell_angle_alpha 90.00
_cell_angle_beta 90.00
_cell_angle_gamma 120.00
loop_
_atom_site_label
_atom_site_fract_x
_atom_site_fract_y
_atom_site_fract_z
Tm1 0.0000 0.0000 0.0000
Mn1 0.0013 0.5007 0.2456
In1 0.6667 0.3333 0.5000
Sn1 0.0000 0.0000 0.3324
Sn2 0.3333 0.6667 0.0000
Sn3 0.3333 0.6667 0.5000
Sn4 0.6667 0.3333 0.0000
```


# 11
The following is a simulated X-ray diffraction stick pattern of Mn2InTe4. It was derived from a DFT-relaxed cell (GGA-PBE, Alexandria), using a wavelength of 1.5418 Å.
Neutral-atom scattering factors, no anomalous dispersion.

Principal peaks in the range 10° ≤ 2θ ≤ 90°, in order of rising 2θ:
2θ = 21.07°, 4.216 Å, I 34
2θ = 25.88°, 3.442 Å, I 100
2θ = 29.92°, 2.986 Å, I 57
2θ = 39.19°, 2.299 Å, I 41
2θ = 42.87°, 2.110 Å, I 88
2θ = 42.97°, 2.105 Å, I 44

Atomic structure:
```
data_Mn2InTe4
_symmetry_space_group_name_H-M 'F d d d'
_symmetry_Int_Tables_number 70
_cell_length_a 11.8833
_cell_length_b 11.9320
_cell_length_c 11.9592
_cell_angle_alpha 90.00
_cell_angle_beta 90.00
_cell_angle_gamma 90.00
loop_
_symmetry_equiv_pos_as_xyz
'x,y,z'
'-x,-y,-z'
'-x+1/4,-y+1/4,z'
'x+1/4,y+1/4,-z'
'x,-y+1/4,-z+1/4'
'-x,y+1/4,z+1/4'
'-x+1/4,y,-z+1/4'
'x+1/4,-y,z+1/4'
'x,y+1/2,z+1/2'
'-x,-y+1/2,-z+1/2'
'-x+1/4,-y+3/4,z+1/2'
'x+1/4,y+3/4,-z+1/2'
'x,-y+3/4,-z+3/4'
'-x,y+3/4,z+3/4'
'-x+1/4,y+1/2,-z+3/4'
'x+1/4,-y+1/2,z+3/4'
'x+1/2,y,z+1/2'
'-x+1/2,-y,-z+1/2'
'-x+3/4,-y+1/4,z+1/2'
'x+3/4,y+1/4,-z+1/2'
'x+1/2,-y+1/4,-z+3/4'
'-x+1/2,y+1/4,z+3/4'
'-x+3/4,y,-z+3/4'
'x+3/4,-y,z+3/4'
'x+1/2,y+1/2,z'
'-x+1/2,-y+1/2,-z'
'-x+3/4,-y+3/4,z'
'x+3/4,y+3/4,-z'
'x+1/2,-y+3/4,-z+1/4'
'-x+1/2,y+3/4,z+1/4'
'-x+3/4,y+1/2,-z+1/4'
'x+3/4,-y+1/2,z+1/4'
loop_
_atom_site_label
_atom_site_fract_x
_atom_site_fract_y
_atom_site_fract_z
Mn1 0.0000 0.0000 0.0000
In1 0.1250 0.1250 0.6250
Te1 0.0136 0.0140 0.2358
```


# 12
The following is a simulated X-ray diffraction stick pattern of Ti5Mn4In. It was derived from a DFT-relaxed cell (GGA-PBE, Alexandria), using a wavelength of 1.5418 Å.
Neutral-atom scattering factors, no anomalous dispersion.

Principal peaks in the range 10° ≤ 2θ ≤ 90°, in order of rising 2θ:
2θ = 34.14°, 2.627 Å, I 10
2θ = 37.42°, 2.403 Å, I 12
2θ = 41.31°, 2.186 Å, I 100
2θ = 42.17°, 2.143 Å, I 60
2θ = 61.15°, 1.516 Å, I 20
2θ = 76.49°, 1.245 Å, I 28

Atomic structure:
```
data_Ti5Mn4In
_symmetry_space_group_name_H-M 'P 4/m m m'
_symmetry_Int_Tables_number 123
_symmetry_space_group_name_Hall '-P 4 2'
_cell_length_a 3.0308
_cell_length_b 3.0308
_cell_length_c 15.7727
_cell_angle_alpha 90.00
_cell_angle_beta 90.00
_cell_angle_gamma 90.00
loop_
_atom_site_label
_atom_site_fract_x
_atom_site_fract_y
_atom_site_fract_z
Ti1 0.0000 0.0000 0.0000
Ti2 0.0000 0.0000 0.1872
Ti3 0.0000 0.0000 0.3676
Mn1 0.5000 0.5000 0.0936
Mn2 0.5000 0.5000 0.2856
In1 0.5000 0.5000 0.5000
```


# 13
The following is a simulated X-ray diffraction stick pattern of YMn3In. It was derived from a DFT-relaxed cell (GGA-PBE, Alexandria), using a wavelength of 1.5418 Å.
Neutral-atom scattering factors, no anomalous dispersion.

Principal peaks in the range 10° ≤ 2θ ≤ 90°, in order of rising 2θ:
2θ = 17.78°, 4.989 Å, I 28
2θ = 25.24°, 3.528 Å, I 82
2θ = 31.05°, 2.881 Å, I 29
2θ = 36.00°, 2.495 Å, I 100
2θ = 44.48°, 2.037 Å, I 36
2θ = 51.83°, 1.764 Å, I 67

Atomic structure:
```
data_YMn3In
_symmetry_space_group_name_H-M 'P m -3 m'
_symmetry_Int_Tables_number 221
_symmetry_space_group_name_Hall '-P 4 2 3'
_cell_length_a 4.9893
_cell_length_b 4.9893
_cell_length_c 4.9893
_cell_angle_alpha 90.00
_cell_angle_beta 90.00
_cell_angle_gamma 90.00
loop_
_atom_site_label
_atom_site_fract_x
_atom_site_fract_y
_atom_site_fract_z
Y1 0.0000 0.0000 0.0000
Mn1 0.0000 0.5000 0.5000
In1 0.5000 0.5000 0.5000
```


# 14
The following is a simulated X-ray diffraction stick pattern of Y6Mn2In. It was derived from a DFT-relaxed cell (GGA-PBE, Alexandria), using a wavelength of 1.5418 Å.
Neutral-atom scattering factors, no anomalous dispersion.

Principal peaks in the range 10° ≤ 2θ ≤ 90°, in order of rising 2θ:
2θ = 31.66°, 2.826 Å, I 100
2θ = 33.89°, 2.645 Å, I 24
2θ = 34.21°, 2.621 Å, I 27
2θ = 34.55°, 2.596 Å, I 20
2θ = 37.43°, 2.403 Å, I 20
2θ = 58.80°, 1.570 Å, I 15

Atomic structure:
```
data_Y6Mn2In
_symmetry_space_group_name_H-M 'I m m m'
_symmetry_Int_Tables_number 71
_symmetry_space_group_name_Hall '-I 2 2'
_cell_length_a 9.6104
_cell_length_b 9.7237
_cell_length_c 10.0531
_cell_angle_alpha 90.00
_cell_angle_beta 90.00
_cell_angle_gamma 90.00
loop_
_atom_site_label
_atom_site_fract_x
_atom_site_fract_y
_atom_site_fract_z
Y1 0.0000 0.2160 0.2313
Y2 0.2067 0.5000 0.1882
Y3 0.2143 0.3089 0.5000
Mn1 0.0000 0.3875 0.0000
Mn2 0.0000 0.5000 0.3961
In1 0.0000 0.0000 0.0000
In2 0.0000 0.0000 0.5000
```